# 1
This entry pairs a crystal structure of Tm5Tl2Pd with its simulated XRD peak list. Radiation: Cu Ka. Structure: a cell relaxed with GGA-PBE.
Kinematic intensities with the Lorentz-polarization factor, no thermal factor.

Crystal structure
Lattice parameters (Å, degrees): 7.057 12.463 4.793 90.00 90.00 90.00
Space group Pbam (No. 55)
One atom of each set of equivalent atoms:
Tm (0.000, 0.000, 0.000) (multiplicity 2)
Tm (0.128, 0.284, 0.000) (multiplicity 4)
Tm (0.177, 0.587, 0.500) (multiplicity 4)
Tl (0.105, 0.841, 0.500) (multiplicity 4)
Pd (0.000, 0.500, 0.000) (multiplicity 2)

Most intense lines, 2θ = 15–90°, in order of rising 2θ:
(hkl), 2θ/deg, I (rel.)
1 3 1, 31.2, 43
1 4 0, 31.4, 32
2 1 1, 32.3, 100
2 3 0, 33.3, 26
0 4 1, 34.3, 62
2 2 1, 34.7, 23
0 0 2, 37.5, 48
1 4 2, 49.7, 18
2 3 2, 51.0, 23
2 1 3, 64.5, 14

# 2
This entry pairs a crystal structure of CeErTe2O with its simulated XRD peak list. Radiation: Cu Ka. Structure: a cell relaxed with GGA-PBE.
Kinematic intensities with the Lorentz-polarization factor, no thermal factor.

Crystal structure
Lattice parameters (Å, degrees): 4.195 4.195 15.352 90.00 90.00 90.00
Space group P4/nmm (No. 129, origin choice 2)
One atom of each set of equivalent atoms:
Ce (0.250, 0.250, 0.074) (multiplicity 2)
Er (0.250, 0.250, 0.622) (multiplicity 2)
Te (0.250, 0.250, 0.410) (multiplicity 2)
Te (0.250, 0.250, 0.811) (multiplicity 2)
O (0.250, 0.750, 0.000) (multiplicity 2)

Most intense lines, 2θ = 15–90°, in order of rising 2θ:
(hkl), 2θ/deg, I (rel.)
0 0 4, 23.2, 23
1 0 3, 27.5, 31
1 1 0, 30.1, 100
1 0 4, 31.6, 19
1 0 5, 36.3, 35
1 1 4, 38.3, 32
2 0 0, 43.1, 42
1 1 7, 51.9, 18
2 1 5, 57.6, 18
3 1 0, 71.1, 17